1.
Starting from a structure optimized by DFT (GGA-PBE), the XRD peak list of Ni18Bi3AsS16 was computed for Cu Kα, 1.54184 Å.
Peak positions follow from Bragg's law for the DFT cell and can differ from measured ones.

Cell and atoms:
```
data_Ni18Bi3AsS16
_chemical_formula_sum 'Ni36 Bi6 As2 S32'
_cell_length_a 10.2689
_cell_length_b 10.2689
_cell_length_c 10.7893
_cell_angle_alpha 90.00
_cell_angle_beta 90.00
_cell_angle_gamma 90.00
_space_group_name_H-M_alt 'I 4/m m m'
_space_group_IT_number 139
_space_group_name_Hall '-I 4 2'
loop_
_atom_site_label
_atom_site_type_symbol
_atom_site_fract_x
_atom_site_fract_y
_atom_site_fract_z
Ni1 Ni 0.0000 0.5000 0.0000
Ni2 Ni 0.1435 0.1435 0.1213
Ni3 Ni 0.1716 0.1716 0.3739
Bi1 Bi 0.0000 0.0000 0.5000
Bi2 Bi 0.0000 0.5000 0.2500
As1 As 0.0000 0.0000 0.0000
S1 S 0.0000 0.2277 0.2594
S2 S 0.1518 0.3365 0.0000
```

Main lines, in order of rising 2θ (5 to 70 degrees two-theta):
(1 1 2), 20.51 deg, 4.330 Å, I = 54.4
(2 2 0), 24.52 deg, 3.631 Å, I = 57.2
(3 1 0), 27.47 deg, 3.247 Å, I = 67.1
(3 1 2), 32.17 deg, 2.782 Å, I = 100.0
(2 0 4), 37.67 deg, 2.388 Å, I = 78.6
(4 2 0), 39.23 deg, 2.296 Å, I = 66.2
(4 0 4), 48.98 deg, 1.860 Å, I = 68.0
(4 4 0), 50.26 deg, 1.815 Å, I = 35.5
(3 3 4), 50.67 deg, 1.801 Å, I = 59.3
(6 0 0), 53.54 deg, 1.711 Å, I = 40.5

***

2.
Starting from a structure optimized by DFT (GGA-PBE), the XRD peak list of Sr4Zn3S was computed for Cu Kα, 1.54184 Å.
Peak positions follow from Bragg's law for the DFT cell and can differ from measured ones.

Cell and atoms:
```
data_Sr4Zn3S
_chemical_formula_sum 'Sr4 Zn3 S1'
_cell_length_a 4.5038
_cell_length_b 4.5013
_cell_length_c 12.8188
_cell_angle_alpha 90.00
_cell_angle_beta 90.07
_cell_angle_gamma 90.00
_space_group_name_H-M_alt 'P 1 m 1'
_space_group_IT_number 6
loop_
_space_group_symop_operation_xyz
'x,y,z'
'x,-y,z'
loop_
_atom_site_label
_atom_site_type_symbol
_atom_site_fract_x
_atom_site_fract_y
_atom_site_fract_z
Sr1 Sr 0.0000 0.0000 0.0000
Sr2 Sr 0.0035 0.0000 0.4690
Sr3 Sr 0.5005 0.5000 0.2344
Sr4 Sr 0.5046 0.5000 0.7344
Zn1 Zn 0.0043 0.0000 0.7345
Zn2 Zn 0.4996 0.5000 0.9767
Zn3 Zn 0.5036 0.5000 0.4924
S1 S 0.0005 0.0000 0.2344
```

Main lines, in order of rising 2θ (5 to 70 degrees two-theta):
(1 0 2), 24.16 deg, 3.684 Å, I = 8.1
(0 0 4), 27.84 deg, 3.205 Å, I = 48.2
(1 1 0), 28.03 deg, 3.184 Å, I = 100.0
(1 1 4), 39.91 deg, 2.259 Å, I = 72.2
(2 0 0), 40.05 deg, 2.251 Å, I = 37.7
(2 0 4), 49.48 deg, 1.842 Å, I = 38.0
(2 2 0), 57.93 deg, 1.592 Å, I = 12.3
(1 1 8), 65.18 deg, 1.431 Å, I = 13.8
(2 2 4), 65.47 deg, 1.426 Å, I = 16.0
(3 1 0), 65.56 deg, 1.424 Å, I = 16.8

***

3.
Starting from a structure optimized by DFT (GGA-PBE), the XRD peak list of NaPd2O4 was computed for Cu Kα, 1.54184 Å.
Peak positions follow from Bragg's law for the DFT cell and can differ from measured ones.

Cell and atoms:
Cell: 8.9190 8.9190 8.9190 Å, 90.00 90.00 90.00°
Space group Fd-3m (No. 227, origin choice 2)
One atom of each set of equivalent atoms:
Na: 0.1250 0.1250 0.1250 (multiplicity 8)
Pd: 0.0000 0.0000 0.5000 (multiplicity 16)
O: 0.0190 0.0190 0.7310 (multiplicity 32)

Main lines, in order of rising 2θ (5 to 70 degrees two-theta):
(1 1 1), 17.22 deg, 5.149 Å, I = 100.0
(3 1 1), 33.32 deg, 2.689 Å, I = 78.5
(2 2 2), 34.85 deg, 2.575 Å, I = 37.9
(4 0 0), 40.45 deg, 2.230 Å, I = 48.1
(3 3 1), 44.27 deg, 2.046 Å, I = 13.3
(5 1 1), 53.38 deg, 1.716 Å, I = 33.7
(4 4 0), 58.54 deg, 1.577 Å, I = 41.0
(5 3 1), 61.51 deg, 1.508 Å, I = 17.6
(5 3 3), 69.05 deg, 1.360 Å, I = 9.6
(6 2 2), 69.97 deg, 1.345 Å, I = 19.5

***

4.
Starting from a structure optimized by DFT (GGA-PBE), the XRD peak list of TaIBrClO was computed for Cu Kα, 1.54184 Å.
Peak positions follow from Bragg's law for the DFT cell and can differ from measured ones.

Cell and atoms:
```
data_TaIBrClO
_chemical_formula_sum 'Ta4 I4 Br4 Cl4 O4'
_cell_length_a 14.7116
_cell_length_b 3.8616
_cell_length_c 12.0951
_cell_angle_alpha 90.00
_cell_angle_beta 120.69
_cell_angle_gamma 90.00
_space_group_name_H-M_alt 'C 1 2/m 1'
_space_group_IT_number 12
loop_
_space_group_symop_operation_xyz
'x,y,z'
'-x,-y,-z'
'-x,y,-z'
'x,-y,z'
'x+1/2,y+1/2,z'
'-x+1/2,-y+1/2,-z'
'-x+1/2,y+1/2,-z'
'x+1/2,-y+1/2,z'
loop_
_atom_site_label
_atom_site_type_symbol
_atom_site_fract_x
_atom_site_fract_y
_atom_site_fract_z
Ta1 Ta 0.1182 0.0000 0.1926
I1 I 0.1732 0.5000 0.7063
Br1 Br 0.0959 0.0000 0.9544
Cl1 Cl 0.1047 0.0000 0.3736
O1 O 0.1101 0.5000 0.1759
```

Main lines, in order of rising 2θ (5 to 70 degrees two-theta):
(0 0 1), 8.50 deg, 10.401 Å, I = 41.3
(2 0 -1), 12.11 deg, 7.309 Å, I = 45.0
(2 0 -2), 15.59 deg, 5.686 Å, I = 45.5
(0 0 2), 17.05 deg, 5.200 Å, I = 39.0
(1 1 0), 24.10 deg, 3.693 Å, I = 25.5
(1 1 -1), 24.34 deg, 3.657 Å, I = 100.0
(4 0 0), 28.22 deg, 3.163 Å, I = 37.9
(2 0 -4), 29.74 deg, 3.004 Å, I = 44.4
(5 1 0), 42.73 deg, 2.116 Å, I = 26.2
(3 1 -5), 44.19 deg, 2.050 Å, I = 27.0